Structure and computed PXRD pattern of Na2AlBr4 (a structure optimized by DFT (GGA-PBE); Cu Kα (weighted mean of Kα1 and Kα2)).
No peak broadening, texture or thermal motion is included.

Main lines, low angle first (15° ≤ 2θ ≤ 90°):
d/Å	intensity	hkl
3.701	100	1 1 2
3.539	22	2 0 0
2.750	6	0 0 4
2.502	22	2 2 0
2.171	31	2 0 4
2.073	31	3 1 2
1.932	7	3 2 1
1.721	10	1 1 6
1.418	9	3 1 6
1.372	9	4 2 4

Structure:
abc: 7.0774 7.0774 10.9996
angles: 90.00 90.00 90.00
Element x y z (fractional)
1 Na 0.0000 0.5000 0.2500
2 Na 0.0000 0.5000 0.7500
3 Na 0.5000 0.0000 0.2500
4 Na 0.5000 0.0000 0.7500
5 Al 0.0000 0.0000 0.0000
6 Al 0.5000 0.5000 0.5000
7 Br 0.2226 0.2226 0.1185
8 Br 0.2226 0.7774 0.8815
9 Br 0.2774 0.2774 0.6185
10 Br 0.2774 0.7226 0.3815
11 Br 0.7226 0.2774 0.3815
12 Br 0.7226 0.7226 0.6185
13 Br 0.7774 0.2226 0.8815
14 Br 0.7774 0.7774 0.1185